Starting from a cell relaxed with GGA+U, the powder XRD pattern of SrLiNdCoO4 was computed for λ = 1.5418 Å (Cu Kα).
Kinematic intensities with the Lorentz-polarization factor, no thermal factor.

Cell and atoms:
```
SrLiNdCoO4
1.0
3.3599 0.0000 0.0000
-0.0180 3.8700 0.0000
-0.0349 -0.0610 8.2844
Sr Li Nd Co O
1 1 1 1 4
Cartesian
0.0000 0.0000 0.0000
1.6793 1.9152 2.2595
1.6693 1.8886 5.4608
-0.0035 3.8421 3.2721
0.0054 1.9109 3.6139
1.6275 1.8784 7.7154
1.6814 -0.0070 1.9971
3.2995 -0.0397 5.6132
```

Peak list (12 most intense, 10 to 80 degrees two-theta, low angle first)
(0 0 1), d = 8.284 Å, I 100; (0 1 -1), d = 3.516 Å, I 66; (0 1 1), d = 3.496 Å, I 66; (1 0 -1), d = 3.114 Å, I 64; (0 1 -2), d = 2.838 Å, I 38; (0 0 3), d = 2.761 Å, I 70; (1 0 -2), d = 2.615 Å, I 50; (1 0 2), d = 2.604 Å, I 52; (1 -1 0), d = 2.543 Å, I 68; (1 1 0), d = 2.531 Å, I 68; (0 2 0), d = 1.935 Å, I 44; (1 1 -3), d = 1.873 Å, I 49